No. 1
For Pr2Ho5Tm3, the GGA-PBE geometry in Alexandria gives the simulated powder diffraction line list in this record (a wavelength of 1.5418 Å).
Intensities are scaled so that the largest is 100.

Top 10 peaks for 15° ≤ 2θ ≤ 90°, by angle:
2θ 30.37, I 100; 2θ 30.70, I 46; 2θ 30.84, I 46; 2θ 32.27, I 23; 2θ 33.88, I 44; 2θ 37.90, I 17; 2θ 49.27, I 19; 2θ 58.55, I 14; 2θ 61.03, I 12; 2θ 65.79, I 20

abc: 9.566 9.566 9.344
angles: 108.11 108.11 112.84
Atoms (fractional coordinates):
Pr: 0.014 0.267 0.046
Pr: 0.267 0.014 0.546
Pr: 0.733 0.986 0.454
Pr: 0.986 0.733 0.954
Ho: 0.153 0.386 0.782
Ho: 0.232 0.768 0.750
Ho: 0.274 0.726 0.250
Ho: 0.386 0.153 0.282
Ho: 0.472 0.528 0.250
Ho: 0.528 0.472 0.750
Ho: 0.614 0.847 0.718
Ho: 0.726 0.274 0.750
Ho: 0.768 0.232 0.250
Ho: 0.847 0.614 0.218
Tm: 0.024 0.976 0.750
Tm: 0.222 0.462 0.451
Tm: 0.462 0.222 0.951
Tm: 0.538 0.778 0.049
Tm: 0.778 0.538 0.549
Tm: 0.976 0.024 0.250

No. 2
For PrHoTm5, the GGA-PBE geometry in Alexandria gives the simulated powder diffraction line list in this record (a wavelength of 1.5418 Å).
Intensities are scaled so that the largest is 100.

Top 10 peaks for 15° ≤ 2θ ≤ 90°, by angle:
2θ 15.50, I 15; 2θ 30.77, I 73; 2θ 30.90, I 58; 2θ 31.11, I 62; 2θ 31.34, I 100; 2θ 32.84, I 22; 2θ 33.46, I 38; 2θ 35.80, I 32; 2θ 37.42, I 24; 2θ 55.39, I 22

abc: 6.686 6.686 12.081
angles: 106.35 106.35 60.67
Atoms (fractional coordinates):
Pr: 0.000 0.500 0.000
Pr: 0.500 0.000 0.500
Ho: 0.029 0.971 0.750
Ho: 0.971 0.029 0.250
Tm: 0.133 0.420 0.746
Tm: 0.202 0.648 0.502
Tm: 0.352 0.798 0.998
Tm: 0.417 0.583 0.250
Tm: 0.420 0.133 0.246
Tm: 0.580 0.867 0.754
Tm: 0.583 0.417 0.750
Tm: 0.648 0.202 0.002
Tm: 0.798 0.352 0.498
Tm: 0.867 0.580 0.254

No. 3
For Pr2Ho2Tm5, the GGA-PBE geometry in Alexandria gives the simulated powder diffraction line list in this record (a wavelength of 1.5418 Å).
Intensities are scaled so that the largest is 100.

Top 10 peaks for 15° ≤ 2θ ≤ 90°, by angle:
2θ 25.69, I 40; 2θ 28.03, I 41; 2θ 28.62, I 40; 2θ 29.96, I 77; 2θ 30.12, I 69; 2θ 32.97, I 68; 2θ 33.69, I 52; 2θ 35.05, I 74; 2θ 36.41, I 100; 2θ 42.91, I 33

abc: 10.913 10.913 8.176
angles: 99.90 99.90 18.29
Atoms (fractional coordinates):
Pr: 0.181 0.181 0.142
Pr: 0.819 0.819 0.858
Ho: 0.454 0.454 0.645
Ho: 0.546 0.546 0.355
Tm: 0.000 0.000 0.000
Tm: 0.095 0.095 0.730
Tm: 0.309 0.309 0.469
Tm: 0.691 0.691 0.531
Tm: 0.905 0.905 0.270

No. 4
For Pr12HoTm2, the GGA-PBE geometry in Alexandria gives the simulated powder diffraction line list in this record (a wavelength of 1.5418 Å).
Intensities are scaled so that the largest is 100.

Top 10 peaks for 15° ≤ 2θ ≤ 90°, by angle:
2θ 28.44, I 28; 2θ 29.14, I 42; 2θ 29.88, I 63; 2θ 30.52, I 64; 2θ 32.33, I 100; 2θ 36.19, I 30; 2θ 42.21, I 18; 2θ 57.07, I 18; 2θ 60.11, I 18; 2θ 61.17, I 18

abc: 6.885 6.885 25.171
angles: 90.00 90.00 116.58
Atoms (fractional coordinates):
Pr: 0.001 0.501 0.131
Pr: 0.002 0.998 0.927
Pr: 0.019 0.519 0.587
Pr: 0.024 0.976 0.440
Pr: 0.250 0.250 0.198
Pr: 0.250 0.250 0.323
Pr: 0.250 0.250 0.677
Pr: 0.250 0.250 0.802
Pr: 0.476 0.524 0.440
Pr: 0.481 0.981 0.587
Pr: 0.498 0.502 0.927
Pr: 0.499 0.999 0.131
Pr: 0.501 0.001 0.869
Pr: 0.502 0.498 0.073
Pr: 0.519 0.019 0.413
Pr: 0.524 0.476 0.560
Pr: 0.750 0.750 0.198
Pr: 0.750 0.750 0.323
Pr: 0.750 0.750 0.677
Pr: 0.750 0.750 0.802
Pr: 0.976 0.024 0.560
Pr: 0.981 0.481 0.413
Pr: 0.998 0.002 0.073
Pr: 0.999 0.499 0.869
Ho: 0.250 0.750 0.001
Ho: 0.750 0.250 0.999
Tm: 0.250 0.750 0.270
Tm: 0.250 0.750 0.733
Tm: 0.750 0.250 0.267
Tm: 0.750 0.250 0.730

No. 5
For PrHo2Tm7, the GGA-PBE geometry in Alexandria gives the simulated powder diffraction line list in this record (a wavelength of 1.5418 Å).
Intensities are scaled so that the largest is 100.

Top 10 peaks for 15° ≤ 2θ ≤ 90°, by angle:
2θ 31.00, I 39; 2θ 31.89, I 74; 2θ 32.15, I 100; 2θ 32.37, I 46; 2θ 33.58, I 10; 2θ 34.93, I 9; 2θ 45.05, I 14; 2θ 45.43, I 15; 2θ 46.77, I 12; 2θ 57.17, I 14

abc: 6.454 6.570 8.054
angles: 74.22 71.91 84.84
Atoms (fractional coordinates):
Pr: 0.000 0.000 0.000
Ho: 0.202 0.581 0.777
Ho: 0.798 0.419 0.223
Tm: 0.000 0.000 0.500
Tm: 0.221 0.528 0.343
Tm: 0.432 0.234 0.060
Tm: 0.443 0.155 0.630
Tm: 0.557 0.845 0.370
Tm: 0.568 0.766 0.940
Tm: 0.779 0.472 0.657

No. 6
For Pr2Ho7Tm, the GGA-PBE geometry in Alexandria gives the simulated powder diffraction line list in this record (a wavelength of 1.5418 Å).
Intensities are scaled so that the largest is 100.

Top 10 peaks for 15° ≤ 2θ ≤ 90°, by angle:
2θ 30.78, I 100; 2θ 35.69, I 51; 2θ 51.28, I 6; 2θ 51.38, I 30; 2θ 61.05, I 21; 2θ 61.12, I 21; 2θ 64.05, I 6; 2θ 64.17, I 6; 2θ 83.82, I 9; 2θ 86.51, I 10

abc: 6.159 6.168 9.408
angles: 109.02 102.60 99.69
Atoms (fractional coordinates):
Pr: 0.001 0.302 0.103
Pr: 0.999 0.698 0.897
Ho: 0.002 0.902 0.304
Ho: 0.498 0.299 0.599
Ho: 0.498 0.900 0.797
Ho: 0.500 0.500 0.000
Ho: 0.502 0.100 0.203
Ho: 0.502 0.701 0.401
Ho: 0.998 0.098 0.696
Tm: 0.000 0.500 0.500

No. 7
For Pr3HoTm3, the GGA-PBE geometry in Alexandria gives the simulated powder diffraction line list in this record (a wavelength of 1.5418 Å).
Intensities are scaled so that the largest is 100.

Top 10 peaks for 15° ≤ 2θ ≤ 90°, by angle:
2θ 28.31, I 24; 2θ 31.03, I 25; 2θ 32.37, I 100; 2θ 42.50, I 16; 2θ 50.13, I 19; 2θ 56.06, I 21; 2θ 60.13, I 23; 2θ 60.94, I 16; 2θ 82.72, I 14; 2θ 86.07, I 8

abc: 9.630 9.630 5.763
angles: 90.00 90.00 120.00
Atoms (fractional coordinates):
Pr: 0.051 0.245 0.250
Pr: 0.195 0.949 0.250
Pr: 0.245 0.195 0.750
Pr: 0.755 0.805 0.250
Pr: 0.805 0.051 0.750
Pr: 0.949 0.755 0.750
Ho: 0.333 0.667 0.250
Ho: 0.667 0.333 0.750
Tm: 0.096 0.481 0.750
Tm: 0.385 0.904 0.750
Tm: 0.481 0.385 0.250
Tm: 0.519 0.615 0.750
Tm: 0.615 0.096 0.250
Tm: 0.904 0.519 0.250

No. 8
For Pr2HoTm7, the GGA-PBE geometry in Alexandria gives the simulated powder diffraction line list in this record (a wavelength of 1.5418 Å).
Intensities are scaled so that the largest is 100.

Top 10 peaks for 15° ≤ 2θ ≤ 90°, by angle:
2θ 30.97, I 100; 2θ 31.05, I 33; 2θ 35.94, I 67; 2θ 51.68, I 24; 2θ 51.79, I 24; 2θ 61.47, I 14; 2θ 61.53, I 28; 2θ 61.62, I 14; 2θ 64.55, I 12; 2θ 84.50, I 10

abc: 6.131 7.061 7.894
angles: 102.80 97.41 106.80
Atoms (fractional coordinates):
Pr: 0.199 0.398 0.397
Pr: 0.801 0.602 0.603
Ho: 0.000 0.000 0.000
Tm: 0.000 0.500 0.000
Tm: 0.202 0.900 0.399
Tm: 0.399 0.299 0.802
Tm: 0.401 0.803 0.803
Tm: 0.599 0.197 0.197
Tm: 0.601 0.701 0.198
Tm: 0.798 0.100 0.601